The following is a theoretical PXRD pattern of CeAlV2O8. It was derived from DFT lattice parameters and positions (PBE+U), using Cu Kα (weighted mean of Kα1 and Kα2).
Intensities are scaled so that the largest is 100.

Main lines, by angle (2θ = 5–70°):
- 13.76 deg, intensity 37
- 18.71 deg, intensity 72
- 23.30 deg, intensity 100
- 32.71 deg, intensity 83
- 33.66 deg, intensity 71
- 35.64 deg, intensity 49
- 46.45 deg, intensity 23
- 47.64 deg, intensity 45
- 53.04 deg, intensity 24
- 58.99 deg, intensity 34
- 67.52 deg, intensity 21
- 68.56 deg, intensity 17

Structure:
```
data_CeAlV2O8
_space_group_name_H-M_alt 'P 1'
_space_group_IT_number 1
_space_group_name_Hall 'P 1'
_cell_length_a 5.4750
_cell_length_b 5.4750
_cell_length_c 6.4368
_cell_angle_alpha 90.00
_cell_angle_beta 90.00
_cell_angle_gamma 120.00
loop_
_atom_site_label
_atom_site_type_symbol
_atom_site_fract_x
_atom_site_fract_y
_atom_site_fract_z
_atom_site_occupancy
Ce1 Ce 0.0000 0.0000 0.0000 1
Al1 Al 0.0000 0.0000 0.5000 1
V1 V 0.3333 0.6667 0.2401 1
V2 V 0.6667 0.3333 0.7599 1
O1 O 0.1550 0.3101 0.3135 1
O2 O 0.1550 0.8450 0.3135 1
O3 O 0.3101 0.1550 0.6865 1
O4 O 0.3333 0.6667 0.9788 1
O5 O 0.6667 0.3333 0.0212 1
O6 O 0.6899 0.8450 0.3135 1
O7 O 0.8450 0.1550 0.6865 1
O8 O 0.8450 0.6899 0.6865 1
```